Theoretical powder X-ray diffraction pattern
Compound: Mg3CdC4O12
Radiation: a wavelength of 1.5418 Å
Structure: a DFT-relaxed cell (PBE, Alexandria)
Lines closer than 0.1° are merged.

Most intense lines, 2θ from 10° to 80°, by intensity:
- 31.36°, rel. 100
- 15.53°, rel. 47
- 18.47°, rel. 27
- 30.64°, rel. 27
- 36.64°, rel. 24
- 51.70°, rel. 24
- 24.23°, rel. 21
- 40.77°, rel. 21
- 51.56°, rel. 19
- 37.45°, rel. 19

Cell and atoms:
Lattice parameters (Å, degrees): 6.1301 6.1301 6.1301 103.15 103.15 103.15
Positions (direct):
Mg 0.0000 0.5418 0.4582
Mg 0.4582 0.0000 0.5418
Mg 0.5418 0.4582 0.0000
Cd 0.0000 0.0000 0.0000
C 0.0409 0.5000 0.9591
C 0.5000 0.5000 0.5000
C 0.5000 0.9591 0.0409
C 0.9591 0.0409 0.5000
O 0.0270 0.6223 0.8121
O 0.0937 0.9063 0.5000
O 0.1879 0.3777 0.9730
O 0.3650 0.6350 0.5000
O 0.3777 0.9730 0.1879
O 0.5000 0.0937 0.9063
O 0.5000 0.3650 0.6350
O 0.6223 0.8121 0.0270
O 0.6350 0.5000 0.3650
O 0.8121 0.0270 0.6223
O 0.9063 0.5000 0.0937
O 0.9730 0.1879 0.3777

=====

Theoretical powder X-ray diffraction pattern
Compound: TbHo5Tm2Th
Radiation: a wavelength of 1.5418 Å
Structure: a DFT-relaxed cell (PBE, Alexandria)
Lines closer than 0.1° are merged.

Most intense lines, 2θ from 10° to 80°, by intensity:
- 32.16°, rel. 100
- 32.35°, rel. 61
- 31.62°, rel. 59
- 34.65°, rel. 30
- 26.67°, rel. 21
- 56.66°, rel. 20
- 33.33°, rel. 18
- 34.51°, rel. 17
- 64.08°, rel. 16
- 41.83°, rel. 13

Cell and atoms:
Lattice parameters (Å, degrees): 11.0597 11.0597 9.6253 90.00 90.00 150.35
Positions (direct):
Tb 0.1896 0.8104 0.5000
Tb 0.8104 0.1896 0.0000
Ho 0.0140 0.9860 0.5009
Ho 0.2719 0.7281 0.8049
Ho 0.3044 0.6956 0.1983
Ho 0.3984 0.6016 0.5236
Ho 0.4683 0.5317 0.2239
Ho 0.5317 0.4683 0.7239
Ho 0.6016 0.3984 0.0236
Ho 0.6956 0.3044 0.6983
Ho 0.7281 0.2719 0.3049
Ho 0.9860 0.0140 0.0009
Tm 0.1159 0.8841 0.8127
Tm 0.1291 0.8709 0.1938
Tm 0.8709 0.1291 0.6938
Tm 0.8841 0.1159 0.3127
Th 0.4060 0.5940 0.9033
Th 0.5940 0.4060 0.4033

=====

Theoretical powder X-ray diffraction pattern
Compound: HoEr8Tm3
Radiation: a wavelength of 1.5418 Å
Structure: a DFT-relaxed cell (PBE, Alexandria)
Lines closer than 0.1° are merged.

Most intense lines, 2θ from 10° to 80°, by intensity:
- 31.33°, rel. 100
- 31.45°, rel. 33
- 36.09°, rel. 23
- 36.41°, rel. 22
- 36.61°, rel. 22
- 52.27°, rel. 16
- 52.45°, rel. 16
- 61.93°, rel. 14
- 62.56°, rel. 14
- 62.32°, rel. 9

Cell and atoms:
Lattice parameters (Å, degrees): 6.0781 7.0025 9.2253 78.98 76.78 72.71
Positions (direct):
Ho 0.0000 0.0000 0.0000
Er 0.0004 0.3334 0.6664
Er 0.9996 0.6666 0.3336
Er 0.0005 0.8330 0.6666
Er 0.4999 0.1668 0.8329
Er 0.4996 0.3336 0.1669
Er 0.5004 0.6664 0.8331
Er 0.5001 0.8332 0.1671
Er 0.9995 0.1670 0.3334
Tm 0.0000 0.5000 0.0000
Tm 0.5000 0.0000 0.5000
Tm 0.5000 0.5000 0.5000

=====

Theoretical powder X-ray diffraction pattern
Compound: Li5Mg2Cu2
Radiation: a wavelength of 1.5418 Å
Structure: a DFT-relaxed cell (PBE, Alexandria)
Lines closer than 0.1° are merged.

Most intense lines, 2θ from 10° to 80°, by intensity:
- 15.96°, rel. 100
- 36.26°, rel. 58
- 38.84°, rel. 47
- 21.37°, rel. 36
- 26.55°, rel. 32
- 10.72°, rel. 25
- 40.21°, rel. 23
- 43.17°, rel. 23
- 25.11°, rel. 21
- 44.08°, rel. 18

Cell and atoms:
Lattice parameters (Å, degrees): 8.5986 8.5986 8.5986 88.29 99.55 149.76
Positions (direct):
Li 0.1600 0.0419 0.2018
Li 0.1600 0.4581 0.6181
Li 0.2078 0.2736 0.4343
Li 0.3174 0.6596 0.9511
Li 0.3174 0.8663 0.1578
Li 0.7085 0.1596 0.8422
Li 0.7085 0.3663 0.0489
Li 0.8393 0.7736 0.5657
Li 0.8400 0.5419 0.3819
Li 0.8400 0.9581 0.7982
Mg 0.4795 0.2681 0.7115
Mg 0.5013 0.0013 0.5000
Mg 0.5013 0.5013 0.0000
Mg 0.5566 0.7681 0.2885
Cu 0.0689 0.6648 0.7057
Cu 0.0689 0.8632 0.9041
Cu 0.9591 0.1648 0.0959
Cu 0.9591 0.3632 0.2943

=====

Theoretical powder X-ray diffraction pattern
Compound: MnTl2As
Radiation: a wavelength of 1.5418 Å
Structure: a DFT-relaxed cell (PBE, Alexandria)
Lines closer than 0.1° are merged.

Most intense lines, 2θ from 10° to 80°, by intensity:
- 29.44°, rel. 100
- 33.75°, rel. 56
- 37.32°, rel. 52
- 30.81°, rel. 36
- 37.46°, rel. 36
- 31.01°, rel. 35
- 26.44°, rel. 34
- 24.73°, rel. 26
- 35.60°, rel. 24
- 59.28°, rel. 23

Cell and atoms:
Lattice parameters (Å, degrees): 16.2792 3.6959 3.4494 90.00 101.83 90.00
Positions (direct):
Mn 0.0000 0.0000 0.0000
Mn 0.5000 0.5000 0.0000
Tl 0.1702 0.0000 0.6720
Tl 0.3298 0.5000 0.3280
Tl 0.6702 0.5000 0.6720
Tl 0.8298 0.0000 0.3280
As 0.0000 0.5000 0.5000
As 0.5000 0.0000 0.5000

=====

Theoretical powder X-ray diffraction pattern
Compound: Pm5CdPd3
Radiation: a wavelength of 1.5418 Å
Structure: a DFT-relaxed cell (PBE, Alexandria)
Lines closer than 0.1° are merged.

Most intense lines, 2θ from 10° to 80°, by intensity:
- 32.66°, rel. 100
- 35.40°, rel. 74
- 48.93°, rel. 27
- 64.59°, rel. 25
- 61.82°, rel. 23
- 33.68°, rel. 21
- 52.13°, rel. 10
- 63.55°, rel. 8
- 44.86°, rel. 8
- 66.37°, rel. 7

Cell and atoms:
Lattice parameters (Å, degrees): 8.7845 8.7845 7.0183 90.00 90.00 120.00
Positions (direct):
Pm 0.0000 0.2975 0.2500
Pm 0.0000 0.7025 0.7500
Pm 0.2975 0.0000 0.2500
Pm 0.2975 0.2975 0.7500
Pm 0.3333 0.6667 0.0000
Pm 0.3333 0.6667 0.5000
Pm 0.6667 0.3333 0.0000
Pm 0.6667 0.3333 0.5000
Pm 0.7025 0.0000 0.7500
Pm 0.7025 0.7025 0.2500
Cd 0.0000 0.0000 0.0000
Cd 0.0000 0.0000 0.5000
Pd 0.0000 0.3747 0.7500
Pd 0.0000 0.6253 0.2500
Pd 0.3747 0.0000 0.7500
Pd 0.3747 0.3747 0.2500
Pd 0.6253 0.0000 0.2500
Pd 0.6253 0.6253 0.7500

=====

Theoretical powder X-ray diffraction pattern
Compound: Tb4Sc2Cd
Radiation: a wavelength of 1.5418 Å
Structure: a DFT-relaxed cell (PBE, Alexandria)
Lines closer than 0.1° are merged.

Most intense lines, 2θ from 10° to 80°, by intensity:
- 31.61°, rel. 100
- 35.40°, rel. 34
- 33.10°, rel. 34
- 58.19°, rel. 26
- 22.57°, rel. 19
- 31.12°, rel. 17
- 15.40°, rel. 16
- 26.89°, rel. 15
- 41.58°, rel. 15
- 54.14°, rel. 14

Cell and atoms:
Lattice parameters (Å, degrees): 8.5605 8.5605 8.5605 134.29 101.55 95.82
Positions (direct):
Tb 0.1739 0.1601 0.0138
Tb 0.2376 0.2182 0.4806
Tb 0.2376 0.7569 0.0194
Tb 0.3538 0.8399 0.5138
Tb 0.6462 0.1601 0.4862
Tb 0.7624 0.2431 0.9806
Tb 0.7624 0.7818 0.5194
Tb 0.8261 0.8399 0.9862
Sc 0.0000 0.5000 0.5000
Sc 0.0300 0.2800 0.7500
Sc 0.5000 0.5000 0.0000
Sc 0.9700 0.7200 0.2500
Cd 0.5000 0.0000 0.0000
Cd 0.5000 0.5000 0.5000

=====

Theoretical powder X-ray diffraction pattern
Compound: Tb3SnPd5
Radiation: a wavelength of 1.5418 Å
Structure: a DFT-relaxed cell (PBE, Alexandria)
Lines closer than 0.1° are merged.

Most intense lines, 2θ from 10° to 80°, by intensity:
- 33.70°, rel. 100
- 37.95°, rel. 87
- 30.99°, rel. 65
- 34.75°, rel. 53
- 47.21°, rel. 30
- 40.60°, rel. 27
- 46.22°, rel. 21
- 59.80°, rel. 20
- 51.84°, rel. 18
- 38.14°, rel. 16

Cell and atoms:
Lattice parameters (Å, degrees): 8.2003 8.2003 8.2003 120.31 120.31 89.46
Positions (direct):
Tb 0.1277 0.6277 0.7554
Tb 0.2500 0.2500 0.0000
Tb 0.3723 0.1277 0.5000
Tb 0.6277 0.8723 0.5000
Tb 0.7500 0.7500 0.0000
Tb 0.8723 0.3723 0.2446
Sn 0.2500 0.7500 0.5000
Sn 0.7500 0.2500 0.5000
Pd 0.0000 0.0000 0.0000
Pd 0.0573 0.1668 0.5000
Pd 0.1668 0.6668 0.1096
Pd 0.3332 0.4427 0.5000
Pd 0.4427 0.9427 0.1096
Pd 0.5000 0.5000 0.0000
Pd 0.5573 0.0573 0.8904
Pd 0.6668 0.5573 0.5000
Pd 0.8332 0.3332 0.8904
Pd 0.9427 0.8332 0.5000

=====

Theoretical powder X-ray diffraction pattern
Compound: Pm4Ga16Fe3
Radiation: a wavelength of 1.5418 Å
Structure: a DFT-relaxed cell (PBE, Alexandria)
Lines closer than 0.1° are merged.

Most intense lines, 2θ from 10° to 80°, by intensity:
- 37.90°, rel. 100
- 41.94°, rel. 74
- 33.37°, rel. 61
- 59.10°, rel. 37
- 39.67°, rel. 32
- 73.93°, rel. 24
- 60.81°, rel. 23
- 31.45°, rel. 22
- 43.57°, rel. 18
- 75.08°, rel. 17

Cell and atoms:
Lattice parameters (Å, degrees): 6.0930 6.0930 11.3603 90.00 90.00 90.00
Positions (direct):
Pm 0.0000 0.5000 0.1948
Pm 0.0000 0.5000 0.8052
Pm 0.5000 0.0000 0.1948
Pm 0.5000 0.0000 0.8052
Ga 0.0000 0.0000 0.1986
Ga 0.0000 0.0000 0.8014
Ga 0.2187 0.2187 0.0000
Ga 0.2187 0.7813 0.0000
Ga 0.2529 0.2529 0.3876
Ga 0.2529 0.2529 0.6124
Ga 0.2529 0.7471 0.3876
Ga 0.2529 0.7471 0.6124
Ga 0.5000 0.5000 0.2164
Ga 0.5000 0.5000 0.7836
Ga 0.7471 0.2529 0.3876
Ga 0.7471 0.2529 0.6124
Ga 0.7471 0.7471 0.3876
Ga 0.7471 0.7471 0.6124
Ga 0.7813 0.2187 0.0000
Ga 0.7813 0.7813 0.0000
Fe 0.0000 0.5000 0.5000
Fe 0.5000 0.0000 0.5000
Fe 0.5000 0.5000 0.0000

=====

Theoretical powder X-ray diffraction pattern
Compound: Pa2Pd6Pt3
Radiation: a wavelength of 1.5418 Å
Structure: a DFT-relaxed cell (PBE, Alexandria)
Lines closer than 0.1° are merged.

Most intense lines, 2θ from 10° to 80°, by intensity:
- 40.36°, rel. 100
- 36.89°, rel. 100
- 39.84°, rel. 99
- 37.98°, rel. 76
- 41.41°, rel. 62
- 40.71°, rel. 47
- 42.02°, rel. 47
- 37.85°, rel. 46
- 38.13°, rel. 38
- 34.35°, rel. 33

Cell and atoms:
Lattice parameters (Å, degrees): 5.6107 5.6107 14.9534 100.67 100.67 57.77
Positions (direct):
Pa 0.0801 0.1805 0.3718
Pa 0.1805 0.0801 0.8718
Pa 0.8195 0.9199 0.1282
Pa 0.9199 0.8195 0.6282
Pd 0.1093 0.7195 0.4477
Pd 0.2270 0.5889 0.8881
Pd 0.2682 0.3946 0.0561
Pd 0.2805 0.8907 0.0523
Pd 0.3946 0.2682 0.5561
Pd 0.4111 0.7730 0.6119
Pd 0.5889 0.2270 0.3881
Pd 0.6054 0.7318 0.4439
Pd 0.7195 0.1093 0.9477
Pd 0.7318 0.6054 0.9439
Pd 0.7730 0.4111 0.1119
Pd 0.8907 0.2805 0.5523
Pt 0.1801 0.2894 0.7209
Pt 0.2894 0.1801 0.2209
Pt 0.3419 0.6581 0.2500
Pt 0.6581 0.3419 0.7500
Pt 0.7106 0.8199 0.7791
Pt 0.8199 0.7106 0.2791

=====

Theoretical powder X-ray diffraction pattern
Compound: AcPuCl
Radiation: a wavelength of 1.5418 Å
Structure: a DFT-relaxed cell (PBE, Alexandria)
Lines closer than 0.1° are merged.

Most intense lines, 2θ from 10° to 80°, by intensity:
- 29.64°, rel. 100
- 31.98°, rel. 49
- 31.06°, rel. 45
- 46.71°, rel. 44
- 28.00°, rel. 41
- 35.21°, rel. 39
- 41.67°, rel. 32
- 27.33°, rel. 25
- 53.47°, rel. 24
- 33.20°, rel. 23

Cell and atoms:
Lattice parameters (Å, degrees): 3.9177 3.9183 12.9247 81.99 82.12 67.17
Positions (direct):
Ac 0.0725 0.0754 0.2851
Ac 0.9275 0.9246 0.7149
Pu 0.3247 0.3248 0.4891
Pu 0.6753 0.6752 0.5109
Cl 0.2360 0.2316 0.8646
Cl 0.7640 0.7684 0.1354

=====

Theoretical powder X-ray diffraction pattern
Compound: LiMg3Pb2
Radiation: a wavelength of 1.5418 Å
Structure: a DFT-relaxed cell (PBE, Alexandria)
Lines closer than 0.1° are merged.

Most intense lines, 2θ from 10° to 80°, by intensity:
- 22.14°, rel. 100
- 36.75°, rel. 20
- 35.65°, rel. 19
- 41.95°, rel. 18
- 37.21°, rel. 17
- 44.65°, rel. 17
- 42.78°, rel. 16
- 24.67°, rel. 12
- 26.80°, rel. 11
- 25.33°, rel. 10

Cell and atoms:
Lattice parameters (Å, degrees): 8.6905 8.6905 8.6905 132.27 67.68 134.99
Positions (direct):
Li 0.0000 0.0000 0.0000
Li 0.5000 0.5000 0.0000
Mg 0.0161 0.2500 0.7661
Mg 0.2500 0.7500 0.5000
Mg 0.4839 0.2500 0.2339
Mg 0.5161 0.7500 0.7661
Mg 0.7500 0.2500 0.5000
Mg 0.9839 0.7500 0.2339
Pb 0.1324 0.7192 0.8516
Pb 0.3676 0.2192 0.5868
Pb 0.6324 0.7808 0.4132
Pb 0.8676 0.2808 0.1484